Diffraction record for CsTlPbBr4. The XRD peak list is calculated, not measured: it uses the GGA-PBE geometry in Alexandria and Cu Kα (weighted mean of Kα1 and Kα2).

Main lines, in order of falling intensity (2θ from 15° to 90°):
- 30.0 deg, I 100
- 21.1 deg, I 90
- 21.3 deg, I 67
- 43.4 deg, I 49
- 29.6 deg, I 46
- 42.9 deg, I 37
- 42.6 deg, I 34
- 37.1 deg, I 34
- 30.7 deg, I 32
- 29.4 deg, I 29

Structure:
```
CsTlPbBr4
1.0
5.967 0.000 0.000
0.000 5.967 0.000
0.000 0.000 17.494
Cs Tl Pb Br
2 2 2 8
direct
0.000 0.000 0.000
0.500 0.500 0.500
0.000 0.000 0.720
0.500 0.500 0.220
0.000 0.000 0.363
0.500 0.500 0.863
0.000 0.000 0.198
0.000 0.000 0.545
0.000 0.500 0.361
0.000 0.500 0.861
0.500 0.000 0.361
0.500 0.000 0.861
0.500 0.500 0.045
0.500 0.500 0.698
```

Diffraction record for Hf6FeAu3. The XRD peak list is calculated, not measured: it uses the GGA-PBE geometry in Alexandria and Cu Kα (weighted mean of Kα1 and Kα2).

Main lines, in order of falling intensity (2θ from 15° to 90°):
- 37.6 deg, I 100
- 36.5 deg, I 72
- 36.3 deg, I 66
- 34.9 deg, I 63
- 33.8 deg, I 54
- 38.0 deg, I 52
- 34.6 deg, I 51
- 33.6 deg, I 51
- 29.4 deg, I 35
- 39.9 deg, I 35

Structure:
```
Hf6FeAu3
1.0
5.394 0.000 0.000
0.000 8.004 0.000
-5.295 0.000 9.475
Hf Fe Au
12 2 6
direct
0.051 0.162 0.447
0.051 0.338 0.947
0.369 0.693 0.446
0.369 0.807 0.946
0.412 0.059 0.269
0.412 0.441 0.769
0.588 0.559 0.231
0.588 0.941 0.731
0.631 0.193 0.054
0.631 0.307 0.554
0.949 0.662 0.053
0.949 0.838 0.553
0.500 0.000 0.500
0.500 0.500 0.000
0.000 0.000 0.000
0.000 0.500 0.500
0.142 0.115 0.756
0.142 0.385 0.256
0.858 0.615 0.744
0.858 0.885 0.244
```

Diffraction record for SmCuPd4. The XRD peak list is calculated, not measured: it uses the GGA-PBE geometry in Alexandria and Cu Kα (weighted mean of Kα1 and Kα2).

Main lines, in order of falling intensity (2θ from 15° to 90°):
- 35.0 deg, I 100
- 42.0 deg, I 90
- 36.2 deg, I 46
- 44.3 deg, I 42
- 39.4 deg, I 35
- 60.7 deg, I 20
- 48.7 deg, I 19
- 38.4 deg, I 18
- 72.7 deg, I 17
- 32.4 deg, I 15

Structure:
```
SmCuPd4
1.0
7.479 0.000 0.000
0.000 4.090 0.000
0.000 0.000 6.865
Sm Cu Pd
2 2 8
direct
0.250 0.000 0.146
0.750 0.000 0.854
0.250 0.000 0.736
0.750 0.000 0.264
0.000 0.000 0.500
0.051 0.500 0.808
0.250 0.500 0.459
0.449 0.500 0.808
0.500 0.000 0.500
0.551 0.500 0.192
0.750 0.500 0.541
0.949 0.500 0.192
```